No. 1
Li2CaPbI6: computed X-ray diffraction stick pattern (Cu Kα (λ = 1.5418 Å)), based on a PBE-relaxed structure.

abc: 8.391 8.391 8.391
angles: 55.34 55.34 55.34
Sites, in units of the cell vectors:
1 Li 0.000 0.000 0.000
2 Li 0.500 0.500 0.500
3 Ca 0.188 0.188 0.188
4 Pb 0.689 0.689 0.689
5 I 0.126 0.766 0.382
6 I 0.259 0.613 0.895
7 I 0.382 0.126 0.766
8 I 0.613 0.895 0.259
9 I 0.766 0.382 0.126
10 I 0.895 0.259 0.613

Most intense lines, 2θ = 15–90°, low angle first:
2theta, d [Å], I (rel.)
15.6, 5.697, 18
21.3, 4.174, 13
25.1, 3.541, 13
26.1, 3.414, 100
27.7, 3.216, 15
34.2, 2.621, 42
40.1, 2.250, 32
44.9, 2.019, 22
48.5, 1.878, 15
67.3, 1.391, 10

=====

No. 2
Rb2Li2CaI6: computed X-ray diffraction stick pattern (Cu Kα (λ = 1.5418 Å)), based on a PBE-relaxed structure.

abc: 8.435 8.435 9.009
angles: 113.05 113.05 62.11
Sites, in units of the cell vectors:
1 Rb 0.212 0.212 0.165
2 Rb 0.788 0.788 0.835
3 Li 0.441 0.441 0.726
4 Li 0.559 0.559 0.274
5 Ca 0.000 0.000 0.500
6 I 0.189 0.697 0.210
7 I 0.235 0.235 0.586
8 I 0.303 0.811 0.790
9 I 0.697 0.189 0.210
10 I 0.765 0.765 0.414
11 I 0.811 0.303 0.790

Most intense lines, 2θ = 15–90°, low angle first:
2theta, d [Å], I (rel.)
20.1, 4.428, 15
21.3, 4.170, 17
22.5, 3.959, 24
24.4, 3.655, 16
24.7, 3.605, 100
28.8, 3.104, 28
30.3, 2.948, 18
40.4, 2.232, 12
41.5, 2.176, 14
43.7, 2.071, 14

=====

No. 3
Rb2LiCaI5: computed X-ray diffraction stick pattern (Cu Kα (λ = 1.5418 Å)), based on a PBE-relaxed structure.

abc: 11.017 11.017 15.390
angles: 90.00 90.00 155.11
Sites, in units of the cell vectors:
1 Rb 0.108 0.892 0.500
2 Rb 0.126 0.874 0.140
3 Rb 0.874 0.126 0.640
4 Rb 0.892 0.108 0.000
5 Li 0.435 0.565 0.259
6 Li 0.565 0.435 0.759
7 Ca 0.206 0.794 0.845
8 Ca 0.794 0.206 0.345
9 I 0.060 0.940 0.856
10 I 0.287 0.713 0.484
11 I 0.307 0.693 0.205
12 I 0.350 0.650 0.825
13 I 0.498 0.502 0.106
14 I 0.502 0.498 0.606
15 I 0.650 0.350 0.325
16 I 0.693 0.307 0.705
17 I 0.713 0.287 0.984
18 I 0.940 0.060 0.356

Most intense lines, 2θ = 15–90°, low angle first:
2theta, d [Å], I (rel.)
22.4, 3.969, 16
24.0, 3.712, 36
24.6, 3.623, 24
25.3, 3.520, 37
25.5, 3.492, 38
25.9, 3.440, 100
28.0, 3.189, 42
30.4, 2.945, 20
37.9, 2.374, 26
42.2, 2.143, 31

=====

No. 4
CaMnI: computed X-ray diffraction stick pattern (Cu Kα (λ = 1.5418 Å)), based on a PBE-relaxed structure.

abc: 4.166 4.166 13.075
angles: 99.43 99.43 59.91
Sites, in units of the cell vectors:
1 Ca 0.000 0.000 0.000
2 Ca 0.128 0.128 0.373
3 Mn 0.397 0.397 0.186
4 Mn 0.730 0.730 0.186
5 I 0.615 0.615 0.847
6 I 0.847 0.847 0.526

Most intense lines, 2θ = 15–90°, low angle first:
2theta, d [Å], I (rel.)
20.8, 4.280, 79
24.8, 3.590, 62
26.4, 3.373, 52
27.3, 3.266, 61
29.7, 3.011, 26
31.0, 2.886, 100
34.1, 2.628, 34
42.2, 2.140, 26
43.5, 2.082, 83
48.7, 1.870, 32

=====

No. 5
Na2CaI4: computed X-ray diffraction stick pattern (Cu Kα (λ = 1.5418 Å)), based on a PBE-relaxed structure.

abc: 8.031 8.031 4.568
angles: 90.00 90.00 109.35
Sites, in units of the cell vectors:
1 Na 0.000 0.500 0.000
2 Na 0.500 0.000 0.000
3 Ca 0.000 0.000 0.500
4 I 0.236 0.236 0.000
5 I 0.241 0.759 0.500
6 I 0.759 0.241 0.500
7 I 0.764 0.764 0.000

Most intense lines, 2θ = 15–90°, low angle first:
2theta, d [Å], I (rel.)
23.5, 3.789, 69
23.7, 3.747, 68
27.2, 3.276, 50
27.4, 3.256, 100
39.0, 2.310, 75
39.5, 2.284, 19
46.0, 1.975, 32
46.4, 1.956, 22
48.0, 1.894, 19
48.6, 1.874, 20

=====

No. 6
CaNdI: computed X-ray diffraction stick pattern (Cu Kα (λ = 1.5418 Å)), based on a PBE-relaxed structure.

abc: 3.971 3.971 7.886
angles: 90.00 90.00 120.00
Sites, in units of the cell vectors:
1 Ca 0.000 0.000 0.000
2 Nd 0.667 0.333 0.373
3 I 0.333 0.667 0.679

Most intense lines, 2θ = 15–90°, low angle first:
2theta, d [Å], I (rel.)
28.3, 3.152, 100
34.1, 2.629, 18
34.6, 2.592, 64
45.7, 1.985, 25
53.6, 1.710, 14
54.6, 1.680, 16
58.2, 1.584, 22
58.6, 1.576, 14
73.9, 1.282, 13
77.3, 1.234, 12